Entry 1:
Computed X-ray diffraction stick pattern
Compound: LiNdGe
Radiation: Cu Kα (λ = 1.5418 Å)
Structure: a crystal structure in the Materials Project, relaxed with GGA-PBE
Neutral-atom scattering factors, no anomalous dispersion.

Principal peaks in the range 2θ from 10° to 90°, in order of rising 2θ:
6.334 Å, 2θ 13.98, intensity 23; 4.377 Å, 2θ 20.29, intensity 38; 3.657 Å, 2θ 24.34, intensity 42; 3.167 Å, 2θ 28.18, intensity 37; 2.806 Å, 2θ 31.89, intensity 86; 2.566 Å, 2θ 34.97, intensity 100; 2.394 Å, 2θ 37.57, intensity 19; 2.189 Å, 2θ 41.25, intensity 24; 2.100 Å, 2θ 43.07, intensity 25; 1.757 Å, 2θ 52.06, intensity 24; 1.630 Å, 2θ 56.44, intensity 30; 1.370 Å, 2θ 68.49, intensity 21

Structural model:
```
LiNdGe
1.0
7.314 0.000 0.000
-3.657 6.334 0.000
0.000 0.000 4.377
Li Nd Ge
3 3 3
direct
0.000 0.767 0.000 Li
0.233 0.233 0.000 Li
0.767 0.000 0.000 Li
0.000 0.419 0.500 Nd
0.419 0.000 0.500 Nd
0.581 0.581 0.500 Nd
0.000 0.000 0.500 Ge
0.333 0.667 0.000 Ge
0.667 0.333 0.000 Ge
```

***

Entry 2:
Computed X-ray diffraction stick pattern
Compound: Nd6Cd5Si7
Radiation: Cu Kα (λ = 1.5418 Å)
Structure: a crystal structure in the Materials Project, relaxed with GGA-PBE
Neutral-atom scattering factors, no anomalous dispersion.

Principal peaks in the range 2θ from 10° to 90°, in order of rising 2θ:
3.858 Å, 2θ 23.05, intensity 15; 3.727 Å, 2θ 23.87, intensity 12; 2.861 Å, 2θ 31.26, intensity 19; 2.769 Å, 2θ 32.33, intensity 50; 2.728 Å, 2θ 32.83, intensity 26; 2.708 Å, 2θ 33.08, intensity 100; 2.628 Å, 2θ 34.11, intensity 13; 2.385 Å, 2θ 37.72, intensity 26; 2.159 Å, 2θ 41.83, intensity 26; 1.693 Å, 2θ 54.17, intensity 12; 1.689 Å, 2θ 54.31, intensity 12; 1.647 Å, 2θ 55.83, intensity 18

Structural model:
```
Nd6Cd5Si7
1.0
5.486 -2.159 0.000
5.486 2.159 0.000
-2.849 0.000 17.355
Nd Cd Si
6 5 7
direct
0.000 0.000 0.000 Nd
0.061 0.061 0.784 Nd
0.315 0.315 0.664 Nd
0.387 0.387 0.440 Nd
0.641 0.641 0.328 Nd
0.754 0.754 0.128 Nd
0.057 0.057 0.192 Cd
0.379 0.379 0.864 Cd
0.680 0.680 0.923 Cd
0.709 0.709 0.527 Cd
0.997 0.997 0.582 Cd
0.101 0.101 0.446 Si
0.285 0.285 0.007 Si
0.308 0.308 0.265 Si
0.465 0.465 0.114 Si
0.602 0.602 0.667 Si
0.774 0.774 0.779 Si
0.916 0.916 0.315 Si
```

***

Entry 3:
Computed X-ray diffraction stick pattern
Compound: BaC2
Radiation: Cu Kα (λ = 1.5418 Å)
Structure: a crystal structure in the Materials Project, relaxed with GGA-PBE
Neutral-atom scattering factors, no anomalous dispersion.

Principal peaks in the range 2θ from 10° to 90°, in order of rising 2θ:
3.875 Å, 2θ 22.95, intensity 100; 2.881 Å, 2θ 31.05, intensity 78; 2.619 Å, 2θ 34.24, intensity 69; 2.486 Å, 2θ 36.13, intensity 15; 2.170 Å, 2θ 41.62, intensity 22; 1.938 Å, 2θ 46.89, intensity 24; 1.803 Å, 2θ 50.63, intensity 33; 1.724 Å, 2θ 53.11, intensity 12; 1.671 Å, 2θ 54.95, intensity 21; 1.558 Å, 2θ 59.33, intensity 23; 1.512 Å, 2θ 61.31, intensity 12; 1.292 Å, 2θ 73.28, intensity 11

Structural model:
```
BaC2
1.0
2.619 1.512 2.486
-2.619 1.512 2.486
0.000 -3.024 2.486
Ba C
1 2
direct
0.000 0.000 0.000 Ba
0.415 0.415 0.415 C
0.585 0.585 0.585 C
```

***

Entry 4:
Computed X-ray diffraction stick pattern
Compound: CsGaBr4
Radiation: Cu Kα (λ = 1.5418 Å)
Structure: a crystal structure in the Materials Project, relaxed with GGA-PBE
Neutral-atom scattering factors, no anomalous dispersion.

Principal peaks in the range 2θ from 10° to 90°, in order of rising 2θ:
4.869 Å, 2θ 18.22, intensity 40; 4.400 Å, 2θ 20.18, intensity 59; 4.047 Å, 2θ 21.96, intensity 95; 3.534 Å, 2θ 25.20, intensity 38; 3.465 Å, 2θ 25.71, intensity 80; 3.247 Å, 2θ 27.47, intensity 57; 3.128 Å, 2θ 28.54, intensity 88; 3.005 Å, 2θ 29.73, intensity 70; 2.992 Å, 2θ 29.86, intensity 100; 2.508 Å, 2θ 35.81, intensity 42; 1.904 Å, 2θ 47.77, intensity 53; 1.793 Å, 2θ 50.92, intensity 38

Structural model:
```
CsGaBr4
1.0
12.570 0.000 0.000
0.000 7.699 0.000
0.000 0.000 10.278
Cs Ga Br
4 4 16
direct
0.181 0.250 0.173 Cs
0.319 0.750 0.673 Cs
0.681 0.250 0.327 Cs
0.819 0.750 0.827 Cs
0.069 0.250 0.691 Ga
0.431 0.750 0.191 Ga
0.569 0.250 0.809 Ga
0.931 0.750 0.309 Ga
0.081 0.003 0.828 Br
0.081 0.497 0.828 Br
0.093 0.750 0.423 Br
0.218 0.250 0.551 Br
0.282 0.750 0.051 Br
0.407 0.250 0.923 Br
0.419 0.503 0.328 Br
0.419 0.997 0.328 Br
0.581 0.003 0.672 Br
0.581 0.497 0.672 Br
0.593 0.750 0.077 Br
0.718 0.250 0.949 Br
0.782 0.750 0.449 Br
0.907 0.250 0.577 Br
0.919 0.503 0.172 Br
0.919 0.997 0.172 Br
```

***

Entry 5:
Computed X-ray diffraction stick pattern
Compound: CaYMg14O16
Radiation: Cu Kα (λ = 1.5418 Å)
Structure: a crystal structure in the Materials Project, relaxed with GGA-PBE
Neutral-atom scattering factors, no anomalous dispersion.

Principal peaks in the range 2θ from 10° to 90°, in order of rising 2θ:
8.778 Å, 2θ 10.08, intensity 15; 4.416 Å, 2θ 20.11, intensity 8; 3.944 Å, 2θ 22.54, intensity 12; 2.942 Å, 2θ 30.39, intensity 7; 2.542 Å, 2θ 35.31, intensity 28; 2.208 Å, 2θ 40.87, intensity 100; 2.189 Å, 2θ 41.25, intensity 47; 1.561 Å, 2θ 59.18, intensity 29; 1.554 Å, 2θ 59.46, intensity 55; 1.330 Å, 2θ 70.83, intensity 11; 1.271 Å, 2θ 74.68, intensity 25; 1.104 Å, 2θ 88.58, intensity 8

Structural model:
```
CaYMg14O16
1.0
4.415 0.000 0.000
0.000 8.755 0.000
0.000 0.000 8.834
Ca Y Mg O
1 1 14 16
direct
0.000 0.000 0.000 Ca
0.000 0.000 0.500 Y
0.000 0.261 0.245 Mg
0.000 0.261 0.755 Mg
0.000 0.500 0.000 Mg
0.000 0.500 0.500 Mg
0.000 0.739 0.245 Mg
0.000 0.739 0.755 Mg
0.500 0.000 0.242 Mg
0.500 0.000 0.758 Mg
0.500 0.258 0.000 Mg
0.500 0.263 0.500 Mg
0.500 0.500 0.248 Mg
0.500 0.500 0.752 Mg
0.500 0.737 0.500 Mg
0.500 0.742 0.000 Mg
0.000 0.000 0.252 O
0.000 0.000 0.748 O
0.000 0.260 0.500 O
0.000 0.265 0.000 O
0.000 0.500 0.251 O
0.000 0.500 0.749 O
0.000 0.735 0.000 O
0.000 0.740 0.500 O
0.500 0.000 0.000 O
0.500 0.000 0.500 O
0.500 0.249 0.250 O
0.500 0.249 0.750 O
0.500 0.500 0.000 O
0.500 0.500 0.500 O
0.500 0.751 0.250 O
0.500 0.751 0.750 O
```

***

Entry 6:
Computed X-ray diffraction stick pattern
Compound: AgAuI4O12
Radiation: Cu Kα (λ = 1.5418 Å)
Structure: a crystal structure in the Materials Project, relaxed with GGA-PBE
Neutral-atom scattering factors, no anomalous dispersion.

Principal peaks in the range 2θ from 10° to 90°, in order of rising 2θ:
4.269 Å, 2θ 20.81, intensity 100; 4.136 Å, 2θ 21.48, intensity 21; 3.391 Å, 2θ 26.28, intensity 87; 3.334 Å, 2θ 26.74, intensity 79; 3.231 Å, 2θ 27.61, intensity 27; 3.212 Å, 2θ 27.77, intensity 55; 2.928 Å, 2θ 30.53, intensity 50; 2.887 Å, 2θ 30.98, intensity 46; 2.845 Å, 2θ 31.45, intensity 25; 2.755 Å, 2θ 32.51, intensity 27; 2.082 Å, 2θ 43.46, intensity 27; 2.030 Å, 2θ 44.64, intensity 22

Structural model:
```
AgAuI4O12
1.0
8.120 0.000 0.000
0.000 5.844 0.000
-3.883 0.000 12.493
Ag Au I O
2 2 8 24
direct
0.000 0.136 0.000 Ag
0.000 0.864 0.500 Ag
0.468 0.249 0.968 Au
0.468 0.751 0.468 Au
0.166 0.116 0.298 I
0.166 0.884 0.798 I
0.281 0.432 0.628 I
0.281 0.568 0.128 I
0.658 0.067 0.311 I
0.658 0.933 0.811 I
0.769 0.393 0.640 I
0.769 0.607 0.140 I
0.090 0.407 0.145 O
0.090 0.593 0.645 O
0.138 0.069 0.681 O
0.138 0.931 0.181 O
0.182 0.340 0.493 O
0.182 0.660 0.993 O
0.225 0.127 0.902 O
0.225 0.873 0.402 O
0.378 0.248 0.322 O
0.378 0.752 0.822 O
0.394 0.292 0.102 O
0.394 0.708 0.602 O
0.538 0.205 0.833 O
0.538 0.795 0.333 O
0.558 0.255 0.617 O
0.558 0.745 0.117 O
0.710 0.370 0.034 O
0.710 0.630 0.534 O
0.761 0.143 0.450 O
0.761 0.857 0.950 O
0.795 0.423 0.256 O
0.795 0.577 0.756 O
0.849 0.088 0.795 O
0.849 0.912 0.295 O
```

***

Repeat the first record exactly.
Computed X-ray diffraction stick pattern
Compound: LiNdGe
Radiation: Cu Kα (λ = 1.5418 Å)
Structure: a crystal structure in the Materials Project, relaxed with GGA-PBE
Neutral-atom scattering factors, no anomalous dispersion.

Principal peaks in the range 2θ from 10° to 90°, in order of rising 2θ:
6.334 Å, 2θ 13.98, intensity 23; 4.377 Å, 2θ 20.29, intensity 38; 3.657 Å, 2θ 24.34, intensity 42; 3.167 Å, 2θ 28.18, intensity 37; 2.806 Å, 2θ 31.89, intensity 86; 2.566 Å, 2θ 34.97, intensity 100; 2.394 Å, 2θ 37.57, intensity 19; 2.189 Å, 2θ 41.25, intensity 24; 2.100 Å, 2θ 43.07, intensity 25; 1.757 Å, 2θ 52.06, intensity 24; 1.630 Å, 2θ 56.44, intensity 30; 1.370 Å, 2θ 68.49, intensity 21

Structural model:
```
LiNdGe
1.0
7.314 0.000 0.000
-3.657 6.334 0.000
0.000 0.000 4.377
Li Nd Ge
3 3 3
direct
0.000 0.767 0.000 Li
0.233 0.233 0.000 Li
0.767 0.000 0.000 Li
0.000 0.419 0.500 Nd
0.419 0.000 0.500 Nd
0.581 0.581 0.500 Nd
0.000 0.000 0.500 Ge
0.333 0.667 0.000 Ge
0.667 0.333 0.000 Ge
```